# 1
For Tb3Ho2Hg6, the GGA-PBE geometry in Alexandria gives the theoretical XRD peak list in this record (Cu Kα (λ = 1.5418 Å)).
No peak broadening, texture or thermal motion is included.

Cell and atoms:
```
11
Lattice="-2.545 2.545 13.238 2.545 -2.545 13.238 2.545 2.545 -13.238" Properties=species:S:1:pos:R:3 pbc="T T T"
Tb 0.000 0.000 0.000
Tb 0.000 0.000 3.714
Tb 0.000 0.000 22.762
Ho 0.000 0.000 9.869
Ho 0.000 0.000 16.607
Hg 2.545 0.000 1.758
Hg 0.000 0.000 6.814
Hg 2.545 0.000 11.480
Hg 0.000 2.545 1.758
Hg 0.000 0.000 19.662
Hg 0.000 2.545 11.480
```

Principal peaks in the range 5 to 70 degrees two-theta, by angle:
d_spacing, two_theta, I/Imax
13.238, 6.68, 18
4.412, 20.13, 18
3.473, 25.65, 52
2.789, 32.09, 16
2.545, 35.26, 66
2.436, 36.90, 100
2.205, 40.93, 12
1.800, 50.72, 25
1.448, 64.36, 40
1.387, 67.52, 12

# 2
For Ac6TlAu, the GGA-PBE geometry in Alexandria gives the theoretical XRD peak list in this record (Cu Kα (λ = 1.5418 Å)).
No peak broadening, texture or thermal motion is included.

Cell and atoms:
```
16
Lattice="7.644 0.000 0.000 0.000 13.060 0.000 -3.248 0.000 6.863" Properties=species:S:1:pos:R:3 pbc="T T T"
Ac 0.955 2.578 1.679
Ac 0.955 10.482 1.679
Ac -0.683 0.000 5.243
Ac 1.257 6.530 1.620
Ac -0.382 3.952 5.185
Ac -0.382 9.108 5.185
Ac 4.778 3.952 1.679
Ac 4.778 9.108 1.679
Ac 3.139 6.530 5.243
Ac 5.079 0.000 1.620
Ac 3.440 2.578 5.185
Ac 3.440 10.482 5.185
Tl -1.624 6.530 3.432
Tl 2.198 0.000 3.432
Au 0.000 0.000 0.000
Au 3.822 6.530 0.000
```

Principal peaks in the range 5 to 70 degrees two-theta, by angle:
d_spacing, two_theta, I/Imax
3.890, 22.86, 25
3.606, 24.69, 39
3.455, 25.79, 23
3.432, 25.96, 25
3.265, 27.32, 29
3.219, 27.72, 70
2.975, 30.04, 100
2.292, 39.31, 23
2.191, 41.21, 40
2.178, 41.45, 54

# 3
For Nd2NiHPt, the GGA-PBE geometry in Alexandria gives the theoretical XRD peak list in this record (Cu Kα (λ = 1.5418 Å)).
No peak broadening, texture or thermal motion is included.

Cell and atoms:
```
10
Lattice="5.791 0.000 0.000 0.000 4.477 0.000 -2.885 0.000 7.389" Properties=species:S:1:pos:R:3 pbc="T T T"
Nd -0.021 1.119 3.162
Nd 1.486 3.358 0.495
Nd 1.420 1.119 6.894
Nd 2.927 3.358 4.228
Ni -1.486 1.119 5.829
Ni 4.391 3.358 1.561
H -2.072 1.119 7.354
H 4.978 3.358 0.035
Pt -0.039 3.358 5.193
Pt 2.945 1.119 2.197
```

Principal peaks in the range 5 to 70 degrees two-theta, by angle:
d_spacing, two_theta, I/Imax
5.390, 16.45, 23
2.877, 31.09, 65
2.850, 31.39, 86
2.696, 33.23, 63
2.309, 39.00, 100
2.269, 39.73, 60
2.238, 40.29, 51
1.984, 45.72, 36
1.722, 53.19, 33
1.485, 62.55, 28

# 4
For Sc2Al5Cu2Ru, the GGA-PBE geometry in Alexandria gives the theoretical XRD peak list in this record (Cu Kα (λ = 1.5418 Å)).
No peak broadening, texture or thermal motion is included.

Cell and atoms:
```
20
Lattice="9.866 0.000 0.000 0.000 9.866 0.000 0.000 0.000 3.293" Properties=species:S:1:pos:R:3 pbc="T T T"
Sc 1.721 3.212 0.000
Sc 3.212 8.145 0.000
Sc 6.654 1.721 0.000
Sc 8.145 6.654 0.000
Al 0.000 4.933 1.646
Al 0.547 7.930 1.646
Al 1.936 0.547 1.646
Al 2.997 5.480 1.646
Al 4.386 2.997 1.646
Al 4.933 0.000 1.646
Al 5.480 6.869 1.646
Al 6.869 4.386 1.646
Al 7.930 9.319 1.646
Al 9.319 1.936 1.646
Cu 1.275 6.208 0.000
Cu 3.658 1.275 0.000
Cu 6.208 8.591 0.000
Cu 8.591 3.658 0.000
Ru 0.000 0.000 0.000
Ru 4.933 4.933 0.000
```

Principal peaks in the range 5 to 70 degrees two-theta, by angle:
d_spacing, two_theta, I/Imax
4.933, 17.98, 12
4.412, 20.13, 12
3.293, 27.08, 18
3.120, 28.61, 39
2.394, 37.57, 36
2.265, 39.80, 100
2.206, 40.91, 15
2.105, 42.98, 23
1.646, 55.87, 19
1.456, 63.96, 14

# 5
For Ba2UBO6, the GGA-PBE geometry in Alexandria gives the theoretical XRD peak list in this record (Cu Kα (λ = 1.5418 Å)).
No peak broadening, texture or thermal motion is included.

Cell and atoms:
```
10
Lattice="-3.278 3.278 3.708 3.278 -3.278 3.708 3.278 3.278 -3.708" Properties=species:S:1:pos:R:3 pbc="T T T"
Ba 3.278 0.000 1.854
Ba 0.000 3.278 1.854
U 0.000 0.000 0.000
B 0.000 0.000 3.708
O 1.449 1.449 0.000
O 1.829 -1.829 3.708
O 0.000 0.000 2.424
O 0.000 0.000 4.993
O -1.829 1.829 3.708
O 1.829 1.829 3.708
```

Principal peaks in the range 5 to 70 degrees two-theta, by angle:
d_spacing, two_theta, I/Imax
4.912, 18.06, 70
3.278, 27.20, 65
2.896, 30.88, 100
2.727, 32.85, 27
2.317, 38.87, 56
1.890, 48.14, 15
1.810, 50.43, 50
1.639, 56.13, 17
1.466, 63.47, 22
1.448, 64.35, 18

# 6
For RbPuTiO4, the GGA-PBE geometry in Alexandria gives the theoretical XRD peak list in this record (Cu Kα (λ = 1.5418 Å)).
No peak broadening, texture or thermal motion is included.

Cell and atoms:
```
14
Lattice="5.912 0.000 0.000 0.000 6.044 0.000 -2.933 0.000 7.792" Properties=species:S:1:pos:R:3 pbc="T T T"
Rb -0.129 1.511 1.064
Rb 3.108 4.533 6.728
Pu -0.353 4.533 3.616
Pu 3.331 1.511 4.176
Ti 0.395 1.511 5.211
Ti 2.584 4.533 2.581
O -0.842 0.103 5.206
O -0.842 2.919 5.206
O 0.994 4.533 1.660
O 1.105 1.511 3.551
O 1.874 4.533 4.242
O 1.984 1.511 6.133
O 3.821 3.125 2.586
O 3.821 5.941 2.586
```

Principal peaks in the range 5 to 70 degrees two-theta, by angle:
d_spacing, two_theta, I/Imax
7.792, 11.36, 95
5.533, 16.02, 20
4.079, 21.79, 32
3.277, 27.21, 100
3.022, 29.56, 28
2.654, 33.78, 14
2.513, 35.73, 22
2.197, 41.09, 21
1.969, 46.09, 20
1.790, 51.02, 18

# 7
For Pr6Er12Mg, the GGA-PBE geometry in Alexandria gives the theoretical XRD peak list in this record (Cu Kα (λ = 1.5418 Å)).
No peak broadening, texture or thermal motion is included.

Cell and atoms:
```
19
Lattice="6.538 3.774 4.293 -6.538 3.774 4.293 0.000 -7.549 4.293" Properties=species:S:1:pos:R:3 pbc="T T T"
Pr -1.794 -1.036 3.520
Pr 1.794 -1.036 3.520
Pr 0.000 2.071 3.520
Pr 0.000 -2.071 9.360
Pr -1.794 1.036 9.360
Pr 1.794 1.036 9.360
Er 0.000 -4.306 3.672
Er -3.729 2.153 3.672
Er -1.709 -2.960 6.440
Er -3.418 0.000 6.440
Er -3.729 -2.153 9.207
Er 1.709 -2.960 6.440
Er -1.709 2.960 6.440
Er 3.729 2.153 3.672
Er 3.418 0.000 6.440
Er 1.709 2.960 6.440
Er 3.729 -2.153 9.207
Er 0.000 4.306 9.207
Mg 0.000 0.000 6.440
```

Principal peaks in the range 5 to 70 degrees two-theta, by angle:
d_spacing, two_theta, I/Imax
6.538, 13.54, 29
3.097, 28.83, 33
2.835, 31.56, 82
2.823, 31.70, 47
2.799, 31.98, 21
2.765, 32.38, 100
2.591, 34.61, 25
2.546, 35.24, 24
1.866, 48.81, 23
1.612, 57.16, 21

# 8
For Nd3YHo3Te8, the GGA-PBE geometry in Alexandria gives the theoretical XRD peak list in this record (Cu Kα (λ = 1.5418 Å)).
No peak broadening, texture or thermal motion is included.

Cell and atoms:
```
15
Lattice="4.389 2.534 7.223 -4.389 2.534 7.223 0.000 -5.068 7.223" Properties=species:S:1:pos:R:3 pbc="T T T"
Nd -2.195 -1.267 7.223
Nd -2.195 1.267 14.446
Nd 0.000 2.534 7.223
Y 0.000 0.000 10.834
Ho -4.389 0.000 10.834
Ho -2.195 1.267 3.611
Ho 2.195 1.267 3.611
Te -2.260 -1.305 12.600
Te 0.000 0.000 5.325
Te 0.000 -2.610 9.068
Te -2.260 1.305 9.068
Te 2.260 -1.305 12.600
Te 0.000 2.610 12.600
Te 0.000 0.000 16.344
Te 2.260 1.305 9.068
```

Principal peaks in the range 5 to 70 degrees two-theta, by angle:
d_spacing, two_theta, I/Imax
6.223, 14.23, 6
4.412, 20.13, 3
3.111, 28.69, 100
2.206, 40.91, 38
2.195, 41.13, 38
1.806, 50.55, 7
1.793, 50.92, 20
1.556, 59.41, 13
1.394, 67.13, 17
1.389, 67.44, 17

# 9
For TmSc4Se5, the GGA-PBE geometry in Alexandria gives the theoretical XRD peak list in this record (Cu Kα (λ = 1.5418 Å)).
No peak broadening, texture or thermal motion is included.

Cell and atoms:
```
10
Lattice="-1.954 2.758 9.775 1.954 -2.758 9.775 1.954 2.758 -9.775" Properties=species:S:1:pos:R:3 pbc="T T T"
Tm 0.000 0.000 0.000
Sc 0.000 0.000 3.959
Sc 0.000 0.000 7.810
Sc 0.000 0.000 11.740
Sc 0.000 0.000 15.591
Se 1.954 0.000 2.032
Se 1.954 0.000 5.880
Se 0.000 2.758 0.000
Se 0.000 2.758 3.895
Se 0.000 2.758 7.743
```

Principal peaks in the range 5 to 70 degrees two-theta, by angle:
d_spacing, two_theta, I/Imax
9.775, 9.05, 13
5.308, 16.70, 8
4.210, 21.10, 5
3.833, 23.21, 4
3.032, 29.46, 5
2.762, 32.41, 100
2.671, 33.56, 4
1.953, 46.50, 71
1.595, 57.82, 24
1.382, 67.80, 7

# 10
For CsMnCuBr5, the GGA-PBE geometry in Alexandria gives the theoretical XRD peak list in this record (Cu Kα (λ = 1.5418 Å)).
No peak broadening, texture or thermal motion is included.

Cell and atoms:
```
16
Lattice="4.639 -6.178 0.000 4.639 6.178 0.000 -3.594 0.000 9.118" Properties=species:S:1:pos:R:3 pbc="T T T"
Cs 1.944 4.309 6.839
Cs 3.741 -4.309 2.280
Mn 4.639 0.000 0.000
Mn 2.842 0.000 4.559
Cu 3.741 3.801 2.280
Cu 1.944 -3.801 6.839
Br -1.455 1.007 8.450
Br 2.323 2.345 3.696
Br 0.342 -1.007 3.891
Br 5.159 2.345 0.864
Br 1.944 0.748 6.839
Br 3.741 -0.748 2.280
Br 0.526 -2.345 8.255
Br 5.343 1.007 5.228
Br 3.362 -2.345 5.423
Br 7.140 -1.007 0.669
```

Principal peaks in the range 5 to 70 degrees two-theta, by angle:
d_spacing, two_theta, I/Imax
4.497, 19.74, 95
4.316, 20.58, 67
3.267, 27.30, 100
3.158, 28.26, 54
3.134, 28.48, 67
3.008, 29.70, 48
2.996, 29.82, 59
2.682, 33.42, 44
2.413, 37.27, 57
1.968, 46.11, 44

# 11
For PrPt2Au8, the GGA-PBE geometry in Alexandria gives the theoretical XRD peak list in this record (Cu Kα (λ = 1.5418 Å)).
No peak broadening, texture or thermal motion is included.

Cell and atoms:
```
11
Lattice="4.342 -6.027 0.000 4.342 6.027 0.000 0.000 0.000 4.193" Properties=species:S:1:pos:R:3 pbc="T T T"
Pr 0.000 0.000 0.000
Pt 4.342 1.350 2.096
Pt 4.342 -1.350 2.096
Au 1.550 1.693 2.096
Au 4.342 3.025 0.000
Au 1.550 -1.693 2.096
Au 2.916 0.000 0.000
Au 5.768 0.000 0.000
Au 7.134 1.693 2.096
Au 4.342 -3.025 0.000
Au 7.134 -1.693 2.096
```

Principal peaks in the range 5 to 70 degrees two-theta, by angle:
d_spacing, two_theta, I/Imax
2.697, 33.22, 23
2.447, 36.73, 100
2.349, 38.33, 43
2.337, 38.53, 75
2.096, 43.15, 35
1.852, 49.19, 14
1.564, 59.07, 25
1.507, 61.54, 10
1.396, 67.07, 16
1.388, 67.47, 11

# 12
For Y2Al2Sn, the GGA-PBE geometry in Alexandria gives the theoretical XRD peak list in this record (Cu Kα (λ = 1.5418 Å)).
No peak broadening, texture or thermal motion is included.

Cell and atoms:
```
10
Lattice="7.272 0.000 0.000 0.000 7.272 0.000 0.000 0.000 4.503" Properties=species:S:1:pos:R:3 pbc="T T T"
Y 1.248 2.389 0.000
Y 2.389 6.025 0.000
Y 4.884 1.248 0.000
Y 6.025 4.884 0.000
Al 0.908 4.545 2.252
Al 2.728 0.908 2.252
Al 4.545 6.364 2.252
Al 6.364 2.728 2.252
Sn 0.000 0.000 2.252
Sn 3.636 3.636 2.252
```

Principal peaks in the range 5 to 70 degrees two-theta, by angle:
d_spacing, two_theta, I/Imax
3.388, 26.31, 59
3.252, 27.42, 27
2.829, 31.63, 100
2.637, 34.00, 99
2.571, 34.89, 24
2.300, 39.17, 62
2.252, 40.04, 34
1.609, 57.26, 41
1.602, 57.53, 28
1.388, 67.48, 21

# 13
For Pr5Pt2, the GGA-PBE geometry in Alexandria gives the theoretical XRD peak list in this record (Cu Kα (λ = 1.5418 Å)).
No peak broadening, texture or thermal motion is included.

Cell and atoms:
```
14
Lattice="8.676 -3.407 0.000 8.676 3.407 0.000 -0.877 0.000 7.272" Properties=species:S:1:pos:R:3 pbc="T T T"
Pr 8.018 2.944 5.454
Pr 3.522 0.476 2.279
Pr 3.083 -0.476 5.915
Pr 6.990 0.725 0.522
Pr 9.923 0.725 3.115
Pr 6.551 -0.725 4.158
Pr 9.484 -0.725 6.751
Pr 13.391 0.476 1.357
Pr 12.952 -0.476 4.993
Pr 8.457 -2.944 1.818
Pt 6.368 2.057 3.089
Pt 10.545 2.057 0.547
Pt 5.929 -2.057 6.725
Pt 10.107 -2.057 4.183
```

Principal peaks in the range 5 to 70 degrees two-theta, by angle:
d_spacing, two_theta, I/Imax
4.677, 18.98, 75
3.088, 28.91, 53
3.075, 29.04, 71
2.955, 30.24, 100
2.859, 31.29, 78
2.729, 32.81, 65
2.682, 33.40, 50
2.672, 33.54, 52
2.627, 34.12, 58
2.298, 39.20, 54